This entry pairs a crystal structure of MgCd2Te2Mo2O12 with its calculated powder diffraction line list. Radiation: a wavelength of 1.5418 Å. Structure: a structure optimized by DFT (GGA+U).

Main lines, in order of rising 2θ (5 to 70 degrees two-theta):
d (Å)  intensity
11.243  100
3.321  25
3.078  44
3.058  23
2.814  20
2.626  22

Atomic structure:
```
MgCd2Te2Mo2O12
1.0
3.8745 -3.6782 0.0000
3.8745 3.6782 0.0000
-0.9957 0.0000 11.2434
Mg Cd Te Mo O
1 2 2 2 12
Direct
0.0000 0.0000 0.0000 Mg
0.3641 0.8728 0.5183 Cd
0.8728 0.3641 0.5183 Cd
0.4008 0.4008 0.7360 Te
0.8440 0.8440 0.3095 Te
0.3347 0.3347 0.2450 Mo
0.9038 0.9038 0.7541 Mo
0.0562 0.0562 0.4100 O
0.1154 0.7580 0.8742 O
0.1201 0.1201 0.6870 O
0.1216 0.1216 0.1517 O
0.1358 0.5687 0.3422 O
0.1798 0.5905 0.6278 O
0.5223 0.5223 0.1656 O
0.5687 0.1358 0.3422 O
0.5905 0.1798 0.6278 O
0.6611 0.6611 0.7048 O
0.6889 0.6889 0.4318 O
0.7580 0.1154 0.8742 O
```

This entry pairs a crystal structure of CuWO4 with its calculated powder diffraction line list. Radiation: a wavelength of 1.5418 Å. Structure: a structure optimized by DFT (GGA+U).

Main lines, in order of rising 2θ (5 to 70 degrees two-theta):
d (Å)  intensity
4.968  80
4.517  82
3.599  100
3.091  70
3.032  93
2.514  72

Atomic structure:
```
CuWO4
1.0
6.8198 0.0000 0.0000
0.0000 9.0341 0.0000
-0.1044 0.0000 12.1277
Cu W O
8 8 32
Direct
0.1260 0.0408 0.1094 Cu
0.1260 0.4592 0.6094 Cu
0.3207 0.6141 0.1081 Cu
0.3207 0.8859 0.6081 Cu
0.6793 0.1141 0.3919 Cu
0.6793 0.3859 0.8919 Cu
0.8740 0.5408 0.3906 Cu
0.8740 0.9592 0.8906 Cu
0.0920 0.6016 0.8616 W
0.0920 0.8984 0.3616 W
0.3952 0.0583 0.8775 W
0.3952 0.4417 0.3775 W
0.6048 0.5583 0.6225 W
0.6048 0.9417 0.1225 W
0.9080 0.1016 0.6384 W
0.9080 0.3984 0.1384 W
0.0365 0.5731 0.1131 O
0.0365 0.9269 0.6131 O
0.0837 0.2462 0.6195 O
0.0837 0.2538 0.1195 O
0.1426 0.0104 0.9179 O
0.1426 0.4896 0.4179 O
0.1823 0.6104 0.7199 O
0.1823 0.8896 0.2199 O
0.3040 0.6339 0.9514 O
0.3040 0.8661 0.4514 O
0.3824 0.0055 0.7341 O
0.3824 0.4945 0.2341 O
0.4012 0.0661 0.0702 O
0.4012 0.4339 0.5702 O
0.4504 0.2459 0.3762 O
0.4504 0.2541 0.8762 O
0.5496 0.7459 0.1238 O
0.5496 0.7541 0.6238 O
0.5988 0.5661 0.4298 O
0.5988 0.9339 0.9298 O
0.6176 0.5055 0.7659 O
0.6176 0.9945 0.2659 O
0.6960 0.1339 0.5486 O
0.6960 0.3661 0.0486 O
0.8177 0.1104 0.7801 O
0.8177 0.3896 0.2801 O
0.8574 0.5104 0.5821 O
0.8574 0.9896 0.0821 O
0.9163 0.7462 0.8805 O
0.9163 0.7538 0.3805 O
0.9635 0.0731 0.3869 O
0.9635 0.4269 0.8869 O
```

This entry pairs a crystal structure of LiTiFe5O8 with its calculated powder diffraction line list. Radiation: a wavelength of 1.5418 Å. Structure: a structure optimized by DFT (GGA+U).

Main lines, in order of rising 2θ (5 to 70 degrees two-theta):
d (Å)  intensity
3.134  59
2.677  60
2.654  89
2.644  100
1.566  44
1.547  67

Atomic structure:
```
LiTiFe5O8
1.0
5.3563 -3.0946 0.0000
5.3563 3.0946 0.0000
-3.5906 0.0000 5.1517
Li Ti Fe O
1 1 5 8
Direct
0.0000 0.0000 0.0000 Li
0.1363 0.1363 0.4118 Ti
0.1345 0.1345 0.8676 Fe
0.1345 0.5974 0.8677 Fe
0.4933 0.4933 0.4823 Fe
0.5974 0.1345 0.8677 Fe
0.7561 0.7561 0.2712 Fe
0.3480 0.9038 0.1553 O
0.3629 0.8822 0.6112 O
0.3640 0.3640 0.6120 O
0.3701 0.3701 0.1113 O
0.8822 0.3629 0.6112 O
0.8867 0.8867 0.6658 O
0.9038 0.3480 0.1553 O
0.9035 0.9035 0.1546 O
```

This entry pairs a crystal structure of YVF5 with its calculated powder diffraction line list. Radiation: a wavelength of 1.5418 Å. Structure: a structure optimized by DFT (GGA+U).

Main lines, in order of rising 2θ (5 to 70 degrees two-theta):
d (Å)  intensity
4.223  95
3.590  100
3.486  69
2.112  29
2.094  29
2.032  36

Atomic structure:
```
YVF5
1.0
4.1875 0.0000 0.0000
0.0000 6.9725 0.0000
0.0000 0.0000 8.4460
Y V F
2 2 10
Direct
0.0000 0.0000 0.0000 Y
0.5000 0.5000 0.5000 Y
0.0000 0.0000 0.5000 V
0.5000 0.5000 0.0000 V
0.0000 0.0000 0.2590 F
0.0000 0.0000 0.7410 F
0.0000 0.3196 0.0000 F
0.0000 0.5000 0.5000 F
0.0000 0.6804 0.0000 F
0.5000 0.0000 0.0000 F
0.5000 0.1804 0.5000 F
0.5000 0.5000 0.2410 F
0.5000 0.5000 0.7590 F
0.5000 0.8196 0.5000 F
```

This entry pairs a crystal structure of Ca6MnSi6Pb2S2O32 with its calculated powder diffraction line list. Radiation: a wavelength of 1.5418 Å. Structure: a structure optimized by DFT (GGA+U).

Main lines, in order of rising 2θ (5 to 70 degrees two-theta):
d (Å)  intensity
6.917  36
6.422  100
3.183  77
2.953  36
2.936  43
2.878  40

Atomic structure:
```
Ca6MnSi6Pb2S2O32
1.0
6.6400 -4.0998 0.0000
6.6400 4.0998 0.0000
-3.1659 0.0000 12.6158
Ca Mn Si Pb S O
6 1 6 2 2 32
Direct
0.0339 0.5688 0.3238 Ca
0.0546 0.0546 0.2317 Ca
0.4312 0.9661 0.6762 Ca
0.5688 0.0339 0.3238 Ca
0.9454 0.9454 0.7683 Ca
0.9661 0.4312 0.6762 Ca
0.0000 0.0000 0.5000 Mn
0.2613 0.2613 0.4850 Si
0.2619 0.6146 0.6278 Si
0.3854 0.7381 0.3722 Si
0.6146 0.2619 0.6278 Si
0.7381 0.3854 0.3722 Si
0.7387 0.7387 0.5150 Si
0.3926 0.3926 0.8696 Pb
0.6074 0.6074 0.1304 Pb
0.2672 0.2672 0.1085 S
0.7328 0.7328 0.8915 S
0.1391 0.7630 0.0990 O
0.1548 0.1548 0.1084 O
0.1571 0.8201 0.3858 O
0.1681 0.4653 0.1675 O
0.1744 0.1744 0.5527 O
0.1799 0.8429 0.6142 O
0.1822 0.5012 0.5199 O
0.1842 0.5977 0.7300 O
0.2249 0.2249 0.3581 O
0.2297 0.2297 0.7752 O
0.2370 0.8609 0.9010 O
0.2804 0.2804 0.0003 O
0.4023 0.8158 0.2700 O
0.4653 0.1681 0.1675 O
0.4976 0.4976 0.3627 O
0.4988 0.8178 0.4801 O
0.5012 0.1822 0.5199 O
0.5024 0.5024 0.6373 O
0.5347 0.8319 0.8325 O
0.5977 0.1842 0.7300 O
0.7196 0.7196 0.9997 O
0.7630 0.1391 0.0990 O
0.7703 0.7703 0.2248 O
0.7751 0.7751 0.6419 O
0.8158 0.4023 0.2700 O
0.8178 0.4988 0.4801 O
0.8201 0.1571 0.3858 O
0.8256 0.8256 0.4473 O
0.8319 0.5347 0.8325 O
0.8429 0.1799 0.6142 O
0.8452 0.8452 0.8916 O
0.8609 0.2370 0.9010 O
```

This entry pairs a crystal structure of CaCr3F6 with its calculated powder diffraction line list. Radiation: a wavelength of 1.5418 Å. Structure: a structure optimized by DFT (GGA+U).

Main lines, in order of rising 2θ (5 to 70 degrees two-theta):
d (Å)  intensity
6.775  100
5.691  53
4.974  31
4.443  36
4.087  22
3.387  39

Atomic structure:
```
CaCr3F6
1.0
6.5073 0.0000 0.0000
-1.1153 6.5302 0.0000
-2.8019 -0.7661 6.7749
Ca Cr F
1 3 6
Direct
0.0000 0.0000 0.0000 Ca
0.0000 0.5000 0.0000 Cr
0.5000 0.0000 0.5000 Cr
0.5000 0.5000 0.0000 Cr
0.1822 0.3163 0.9286 F
0.1976 0.7483 0.9778 F
0.2569 0.1093 0.2998 F
0.7431 0.8907 0.7002 F
0.8024 0.2517 0.0222 F
0.8178 0.6837 0.0714 F
```

This entry pairs a crystal structure of Li2Ti2Mn3O10 with its calculated powder diffraction line list. Radiation: a wavelength of 1.5418 Å. Structure: a structure optimized by DFT (GGA+U).

Main lines, in order of rising 2θ (5 to 70 degrees two-theta):
d (Å)  intensity
7.292  96
4.977  42
4.870  100
2.243  68
2.103  54
1.991  50

Atomic structure:
```
Li2Ti2Mn3O10
1.0
5.0472 0.0000 0.0000
0.7862 5.1054 0.0000
1.8916 1.6680 7.2924
Li Ti Mn O
2 2 3 10
Direct
0.0119 0.2602 0.4071 Li
0.9881 0.7398 0.5929 Li
0.4861 0.6297 0.3186 Ti
0.5139 0.3703 0.6814 Ti
0.0000 0.5000 0.0000 Mn
0.4871 0.8098 0.8927 Mn
0.5129 0.1902 0.1073 Mn
0.2389 0.6867 0.7847 O
0.2701 0.4141 0.5219 O
0.2799 0.5229 0.1394 O
0.2941 0.1534 0.9375 O
0.2970 0.9569 0.3308 O
0.7030 0.0431 0.6692 O
0.7059 0.8466 0.0625 O
0.7201 0.4771 0.8606 O
0.7299 0.5859 0.4781 O
0.7611 0.3133 0.2153 O
```

This entry pairs a crystal structure of Li9Mn2Co5O16 with its calculated powder diffraction line list. Radiation: a wavelength of 1.5418 Å. Structure: a structure optimized by DFT (GGA+U).

Main lines, in order of rising 2θ (5 to 70 degrees two-theta):
d (Å)  intensity
4.839  100
2.492  26
2.086  28
2.078  27
2.072  27
1.467  15

Atomic structure:
```
Li9Mn2Co5O16
1.0
5.8707 0.0000 0.0000
2.9349 5.1294 0.0000
0.0777 3.3583 9.5429
Li Mn Co O
9 2 5 16
Direct
0.0000 0.0000 0.0000 Li
0.0000 0.0000 0.5000 Li
0.0000 0.5000 0.0000 Li
0.2436 0.0086 0.2455 Li
0.2521 0.9954 0.7521 Li
0.5000 0.0000 0.0000 Li
0.5000 0.0000 0.5000 Li
0.7479 0.0046 0.2479 Li
0.7564 0.9914 0.7545 Li
0.2530 0.4903 0.7545 Mn
0.7470 0.5097 0.2455 Mn
0.0000 0.5000 0.5000 Co
0.2445 0.5042 0.2409 Co
0.5000 0.5000 0.0000 Co
0.5000 0.5000 0.5000 Co
0.7555 0.4958 0.7591 Co
0.0987 0.2733 0.3642 O
0.1277 0.7237 0.3792 O
0.1291 0.2640 0.8649 O
0.1568 0.7143 0.8718 O
0.3652 0.2687 0.6273 O
0.3768 0.2860 0.1254 O
0.3797 0.7192 0.6262 O
0.3929 0.7426 0.1352 O
0.6071 0.2574 0.8648 O
0.6203 0.2808 0.3738 O
0.6232 0.7140 0.8746 O
0.6348 0.7313 0.3727 O
0.8432 0.2857 0.1282 O
0.8709 0.7360 0.1351 O
0.8723 0.2763 0.6208 O
0.9013 0.7267 0.6358 O
```